For Y2Fe17C3, the GGA-PBE geometry in OQMD gives the computed powder X-ray diffraction pattern in this record (Cu Kα).
Lines closer than 0.1° are merged.

Main lines, low angle first (10 to 90 degrees two-theta):
d/Å	Rel. int.
2.991	20
2.486	33
2.392	30
2.153	81
2.134	100
2.079	40
2.074	19
1.912	47
1.496	17
1.243	18

Atomic structure:
Lattice parameters (Å, degrees): 6.4813 6.4813 6.4813 83.26 83.26 83.26
Fractional positions:
Y 0.1574 0.1574 0.1574
Y 0.8426 0.8426 0.8426
Fe 0.0000 0.5000 0.5000
Fe 0.1566 0.1566 0.6449
Fe 0.1566 0.6449 0.1566
Fe 0.2165 0.5000 0.7835
Fe 0.2165 0.7835 0.5000
Fe 0.3551 0.8434 0.8434
Fe 0.4050 0.4050 0.4050
Fe 0.5000 0.0000 0.5000
Fe 0.5000 0.2165 0.7835
Fe 0.5000 0.5000 0.0000
Fe 0.5000 0.7835 0.2165
Fe 0.5950 0.5950 0.5950
Fe 0.6449 0.1566 0.1566
Fe 0.7835 0.2165 0.5000
Fe 0.7835 0.5000 0.2165
Fe 0.8434 0.3551 0.8434
Fe 0.8434 0.8434 0.3551
C 0.0000 0.0000 0.5000
C 0.0000 0.5000 0.0000
C 0.5000 0.0000 0.0000

=====

For Y2Ho2I5N, the GGA-PBE geometry in OQMD gives the computed powder X-ray diffraction pattern in this record (Cu Kα).
Lines closer than 0.1° are merged.

Main lines, low angle first (10 to 90 degrees two-theta):
d/Å	Rel. int.
3.815	18
3.191	15
3.068	52
2.943	18
2.875	100
2.677	33
2.102	29
2.094	28
1.950	19
1.646	16

Atomic structure:
Lattice parameters (Å, degrees): 9.6358 9.6358 8.5115 102.45 102.45 23.35
Fractional positions:
Y 0.1268 0.1268 0.0626
Y 0.8732 0.8732 0.9374
Ho 0.4994 0.4994 0.1868
Ho 0.5006 0.5006 0.8132
I 0.0000 0.0000 0.5000
I 0.3335 0.3335 0.1815
I 0.3371 0.3371 0.6576
I 0.6629 0.6629 0.3424
I 0.6665 0.6665 0.8185
N 0.0000 0.0000 0.0000